# 1
# Gd3YPb2C2
Theoretical XRD peak list, Cu Kα (weighted mean of Kα1 and Kα2). Input: a crystal structure in OQMD, relaxed with GGA-PBE.
Intensities are scaled so that the largest is 100.

Crystal structure
a = 3.6661 Å, b = 3.6661 Å, c = 16.3145 Å
α = 90.00°, β = 90.00°, γ = 120.00°
Space group P3m1 (No. 156)
Symmetry-distinct sites (fractional):
Gd 0.0000 0.0000 0.0000 x1
Gd 0.0000 0.0000 0.3339 x1
Gd 0.3333 0.6667 0.5002 x1
Y 0.3333 0.6667 0.8341 x1
Pb 0.0000 0.0000 0.6673 x1
Pb 0.3333 0.6667 0.1671 x1
C 0.6667 0.3333 0.4172 x1
C 0.6667 0.3333 0.9170 x1

The 10 most intense peaks (2θ = 15–90°), in order of falling intensity:
hkl 1 0 3, 32.66 deg, intensity 100
hkl 1 0 0, 28.11 deg, intensity 22
hkl 1 1 6, 60.96 deg, intensity 22
hkl 1 1 0, 49.74 deg, intensity 21
hkl 0 0 6, 32.94 deg, intensity 21
hkl 1 0 9, 58.64 deg, intensity 19
hkl 2 0 3, 60.78 deg, intensity 17
hkl 1 0 6, 43.84 deg, intensity 16
hkl 2 1 3, 82.28 deg, intensity 15
hkl 1 1 12, 89.82 deg, intensity 9

=====

# 2
# Gd12Re5C15
Theoretical XRD peak list, Cu Kα (weighted mean of Kα1 and Kα2). Input: a crystal structure in OQMD, relaxed with GGA-PBE.
Intensities are scaled so that the largest is 100.

Crystal structure
a = 10.8021 Å, b = 10.8021 Å, c = 5.1667 Å
α = 90.00°, β = 90.00°, γ = 120.00°
Space group P-62m (No. 189)
Symmetry-distinct sites (fractional):
Gd 0.0000 0.4259 0.0000 x3
Gd 0.0000 0.7950 0.0000 x3
Gd 0.1864 0.7299 0.5000 x6
Re 0.0000 0.1515 0.5000 x3
Re 0.3333 0.6667 0.0000 x2
C 0.0000 0.3315 0.5000 x3
C 0.0000 0.4567 0.5000 x3
C 0.0000 0.7863 0.5000 x3
C 0.1882 0.7188 0.0000 x6

The 10 most intense peaks (2θ = 15–90°), in order of falling intensity:
hkl 2 1 1, 30.64 deg, intensity 100
hkl 3 1 0, 34.57 deg, intensity 41
hkl 0 0 2, 34.73 deg, intensity 38
hkl 3 1 2, 49.81 deg, intensity 29
hkl 3 0 1, 33.57 deg, intensity 23
hkl 2 2 1, 37.58 deg, intensity 16
hkl 2 1 3, 59.72 deg, intensity 16
hkl 6 1 1, 68.20 deg, intensity 8
hkl 6 2 0, 72.97 deg, intensity 8
hkl 4 1 1, 47.91 deg, intensity 8

=====

# 3
# GdScCS
Theoretical XRD peak list, Cu Kα (weighted mean of Kα1 and Kα2). Input: a crystal structure in OQMD, relaxed with GGA-PBE.
Intensities are scaled so that the largest is 100.

Crystal structure
a = 3.6056 Å, b = 3.6056 Å, c = 12.5321 Å
α = 90.00°, β = 90.00°, γ = 120.00°
Space group P-6m2 (No. 187)
Symmetry-distinct sites (fractional):
Gd 0.0000 0.0000 0.1549 x2
Sc 0.3333 0.6667 0.3623 x2
C 0.6667 0.3333 0.2656 x2
S 0.0000 0.0000 0.5000 x1
S 0.3333 0.6667 0.0000 x1

The 10 most intense peaks (2θ = 15–90°), in order of falling intensity:
hkl 1 0 3, 35.91 deg, intensity 100
hkl 1 0 0, 28.57 deg, intensity 54
hkl 1 1 0, 50.63 deg, intensity 26
hkl 1 0 1, 29.48 deg, intensity 25
hkl 2 0 3, 63.62 deg, intensity 19
hkl 0 0 3, 21.27 deg, intensity 18
hkl 1 0 6, 52.73 deg, intensity 17
hkl 2 1 3, 85.49 deg, intensity 16
hkl 1 0 4, 40.80 deg, intensity 15
hkl 2 0 0, 59.15 deg, intensity 14

=====

# 4
# TbGdCS
Theoretical XRD peak list, Cu Kα (weighted mean of Kα1 and Kα2). Input: a crystal structure in OQMD, relaxed with GGA-PBE.
Intensities are scaled so that the largest is 100.

Crystal structure
a = 3.7399 Å, b = 3.7399 Å, c = 13.0368 Å
α = 90.00°, β = 90.00°, γ = 120.00°
Space group P6_3mc (No. 186)
Symmetry-distinct sites (fractional):
Tb 0.3333 0.6667 0.0000 x2
Gd 0.3333 0.6667 0.2905 x2
C 0.0000 0.0000 0.3956 x2
S 0.3333 0.6667 0.6443 x2

The 10 most intense peaks (2θ = 15–90°), in order of falling intensity:
hkl 1 0 3, 34.54 deg, intensity 100
hkl 1 0 1, 28.39 deg, intensity 40
hkl 1 1 0, 48.69 deg, intensity 31
hkl 1 0 0, 27.54 deg, intensity 31
hkl 1 1 4, 56.78 deg, intensity 21
hkl 0 0 4, 27.36 deg, intensity 20
hkl 2 0 3, 61.07 deg, intensity 19
hkl 1 0 7, 57.04 deg, intensity 18
hkl 2 1 3, 81.73 deg, intensity 17
hkl 1 0 4, 39.21 deg, intensity 16

=====

# 5
# GdYCS
Theoretical XRD peak list, Cu Kα (weighted mean of Kα1 and Kα2). Input: a crystal structure in OQMD, relaxed with GGA-PBE.
Intensities are scaled so that the largest is 100.

Crystal structure
a = 3.7322 Å, b = 3.7322 Å, c = 13.0041 Å
α = 90.00°, β = 90.00°, γ = 120.00°
Space group P-6m2 (No. 187)
Symmetry-distinct sites (fractional):
Gd 0.0000 0.0000 0.1460 x2
Y 0.3333 0.6667 0.3551 x2
C 0.6667 0.3333 0.2511 x2
S 0.0000 0.0000 0.5000 x1
S 0.3333 0.6667 0.0000 x1

The 10 most intense peaks (2θ = 15–90°), in order of falling intensity:
hkl 1 0 3, 34.62 deg, intensity 100
hkl 1 0 0, 27.60 deg, intensity 34
hkl 1 0 1, 28.45 deg, intensity 34
hkl 1 1 0, 48.80 deg, intensity 30
hkl 1 1 4, 56.92 deg, intensity 19
hkl 2 0 3, 61.21 deg, intensity 19
hkl 1 0 4, 39.31 deg, intensity 17
hkl 0 0 4, 27.43 deg, intensity 17
hkl 2 1 3, 81.93 deg, intensity 16
hkl 1 0 7, 57.19 deg, intensity 16

=====

# 6
# GdZrCS
Theoretical XRD peak list, Cu Kα (weighted mean of Kα1 and Kα2). Input: a crystal structure in OQMD, relaxed with GGA-PBE.
Intensities are scaled so that the largest is 100.

Crystal structure
a = 3.5605 Å, b = 3.5605 Å, c = 12.7404 Å
α = 90.00°, β = 90.00°, γ = 120.00°
Space group P-6m2 (No. 187)
Symmetry-distinct sites (fractional):
Gd 0.0000 0.0000 0.1514 x2
Zr 0.3333 0.6667 0.3584 x2
C 0.6667 0.3333 0.2695 x2
S 0.0000 0.0000 0.5000 x1
S 0.3333 0.6667 0.0000 x1

The 10 most intense peaks (2θ = 15–90°), in order of falling intensity:
hkl 1 0 3, 35.99 deg, intensity 100
hkl 1 0 0, 28.96 deg, intensity 33
hkl 1 0 1, 29.81 deg, intensity 31
hkl 1 1 0, 51.32 deg, intensity 28
hkl 2 0 3, 64.28 deg, intensity 18
hkl 2 1 3, 86.62 deg, intensity 16
hkl 0 0 4, 28.01 deg, intensity 16
hkl 1 0 7, 58.93 deg, intensity 14
hkl 1 0 4, 40.73 deg, intensity 14
hkl 1 1 4, 59.48 deg, intensity 12